This entry pairs a crystal structure of MnHg2F8 with its simulated XRD peak list. Radiation: Cu Kα X-rays. Structure: a crystal structure in Alexandria, relaxed with PBE+U.

Principal peaks in the range 2θ from 10° to 80°, in order of rising 2θ:
25.4 deg, intensity 100.0, (0 1 1)
26.7 deg, intensity 93.0, (1 1 0)
37.1 deg, intensity 18.0, (2 0 1)
46.3 deg, intensity 50.3, (1 2 1)
47.1 deg, intensity 17.8, (3 0 0)
49.5 deg, intensity 18.1, (1 1 2)

Cell and atoms:
Lattice parameters (Å, degrees): 6.685 6.685 4.418 90.00 90.00 120.00
Sites, in units of the cell vectors:
Mn  0.000  0.000  0.000
Hg  0.333  0.667  0.224
Hg  0.667  0.333  0.776
F  0.132  0.264  0.236
F  0.132  0.868  0.236
F  0.264  0.132  0.764
F  0.333  0.667  0.723
F  0.667  0.333  0.277
F  0.736  0.868  0.236
F  0.868  0.132  0.764
F  0.868  0.736  0.764